# CaScCl5
Computed powder X-ray diffraction pattern, CuKα. Input: a DFT-relaxed cell (PBE, Alexandria).
Kinematic intensities with the Lorentz-polarization factor, no thermal factor.

```
data_CaScCl5
_chemical_formula_sum 'Ca4 Sc4 Cl20'
_cell_length_a 7.0078
_cell_length_b 13.5457
_cell_length_c 9.0910
_cell_angle_alpha 90.00
_cell_angle_beta 101.72
_cell_angle_gamma 90.00
_space_group_name_H-M_alt 'C 1 2/c 1'
_space_group_IT_number 15
loop_
_space_group_symop_operation_xyz
'x,y,z'
'-x,-y,-z'
'-x,y,-z+1/2'
'x,-y,z+1/2'
'x+1/2,y+1/2,z'
'-x+1/2,-y+1/2,-z'
'-x+1/2,y+1/2,-z+1/2'
'x+1/2,-y+1/2,z+1/2'
loop_
_atom_site_label
_atom_site_fract_x
_atom_site_fract_y
_atom_site_fract_z
_atom_site_occupancy
Ca1 0.0000 0.0389 0.2500 1
Sc1 0.0000 0.5000 0.0000 1
Cl1 0.0000 0.4187 0.2500 1
Cl2 0.1758 0.0862 0.9870 1
Cl3 0.1823 0.3567 0.6221 1
```

Most intense lines, 5° ≤ 2θ ≤ 70°, low angle first:
two_theta	I (rel.)	index
13.1	100.0	0 2 0
22.5	22.4	1 1 -2
26.7	23.0	1 3 1
29.1	47.8	2 2 -1
31.0	21.3	1 1 -3
32.8	24.8	1 3 2
36.4	25.9	1 3 -3
37.3	13.0	2 4 0
37.8	20.0	1 5 1
42.8	13.2	0 2 4